No. 1
# RbSiMo3
Computed X-ray powder pattern, Cu Ka. Input: a structure optimized by DFT (GGA-PBE).
No peak broadening, texture or thermal motion is included.

Largest 9 diffraction maxima, in order of falling intensity, 10 to 80 degrees two-theta:
d 2.753, 2θ = 32.5°, intensity 100, hkl 1 1 1
d 2.384, 2θ = 37.7°, intensity 67, hkl 2 0 0
d 1.686, 2θ = 54.4°, intensity 45, hkl 2 2 0
d 1.438, 2θ = 64.8°, intensity 39, hkl 3 1 1
d 1.377, 2θ = 68.1°, intensity 15, hkl 2 2 2
d 4.769, 2θ = 18.6°, intensity 4, hkl 1 0 0
d 2.133, 2θ = 42.4°, intensity 2, hkl 2 1 0
d 1.590, 2θ = 58.0°, intensity 1, hkl 3 0 0
d 3.372, 2θ = 26.4°, intensity 1, hkl 1 1 0

Structural model:
Unit cell a=4.769 b=4.769 c=4.769 alpha=90.00 beta=90.00 gamma=90.00
Space group Pm-3m (No. 221)
One atom of each set of equivalent atoms:
Rb  0.000  0.000  0.000 (multiplicity 1)
Si  0.500  0.500  0.500 (multiplicity 1)
Mo  0.000  0.500  0.500 (multiplicity 3)

---

No. 2
# CsS5I
Computed X-ray powder pattern, Cu Ka. Input: a structure optimized by DFT (GGA-PBE).
No peak broadening, texture or thermal motion is included.

Largest 10 diffraction maxima, in order of falling intensity, 10 to 80 degrees two-theta:
d 6.450, 2θ = 13.7°, intensity 100, hkl 1 1 0
d 3.145, 2θ = 28.4°, intensity 76, hkl 1 3 2
d 6.168, 2θ = 14.4°, intensity 53, hkl 1 1 -1
d 5.021, 2θ = 17.7°, intensity 39, hkl 1 1 -2
d 3.378, 2θ = 26.4°, intensity 34, hkl 1 3 -2
d 3.243, 2θ = 27.5°, intensity 34, hkl 2 2 -1
d 3.347, 2θ = 26.6°, intensity 27, hkl 0 0 4
d 3.946, 2θ = 22.5°, intensity 25, hkl 1 1 -3
d 2.438, 2θ = 36.9°, intensity 20, hkl 1 5 0
d 6.694, 2θ = 13.2°, intensity 19, hkl 0 0 2

Structural model:
Unit cell a=7.548 b=12.915 c=13.578 alpha=90.00 beta=99.60 gamma=90.00
Space group C2/c (No. 15)
One atom of each set of equivalent atoms:
Cs  0.000  0.168  0.250 (multiplicity 4)
S  0.000  0.482  0.750 (multiplicity 4)
S  0.192  0.143  0.618 (multiplicity 8)
S  0.225  0.424  0.248 (multiplicity 8)
I  0.000  0.000  0.000 (multiplicity 4)

---

No. 3
# Yb4Zr3O12
Computed X-ray powder pattern, Cu Ka. Input: a structure optimized by DFT (GGA-PBE).
No peak broadening, texture or thermal motion is included.

Largest 10 diffraction maxima, in order of falling intensity, 10 to 80 degrees two-theta:
d 3.018, 2θ = 29.6°, intensity 100, hkl 0 2 -1
d 3.083, 2θ = 29.0°, intensity 98, hkl 1 0 -2
d 3.014, 2θ = 29.6°, intensity 95, hkl 2 -1 0
d 3.071, 2θ = 29.1°, intensity 92, hkl 1 1 1
d 1.861, 2θ = 49.0°, intensity 57, hkl 3 0 1
d 2.642, 2θ = 33.9°, intensity 42, hkl -1 2 1
d 2.657, 2θ = 33.7°, intensity 39, hkl 1 -1 2
d 2.616, 2θ = 34.3°, intensity 39, hkl 2 1 -1
d 1.579, 2θ = 58.4°, intensity 32, hkl -3 3 1
d 4.924, 2θ = 18.0°, intensity 30, hkl 0 1 -1

Structural model:
Unit cell a=6.399 b=6.403 c=6.563 alpha=98.79 beta=99.43 gamma=99.45
Space group P-1 (No. 2)
One atom of each set of equivalent atoms:
Yb  0.135  0.303  0.107 (multiplicity 2)
Yb  0.300  0.609  0.634 (multiplicity 2)
Zr  0.000  0.000  0.500 (multiplicity 1)
Zr  0.397  0.853  0.175 (multiplicity 2)
O  0.065  0.314  0.442 (multiplicity 2)
O  0.087  0.922  0.194 (multiplicity 2)
O  0.188  0.588  0.935 (multiplicity 2)
O  0.323  0.979  0.613 (multiplicity 2)
O  0.416  0.587  0.320 (multiplicity 2)
O  0.434  0.174  0.076 (multiplicity 2)

---

No. 4
# Rb2Sc3Cl8
Computed X-ray powder pattern, Cu Ka. Input: a structure optimized by DFT (GGA-PBE).
No peak broadening, texture or thermal motion is included.

Largest 10 diffraction maxima, in order of falling intensity, 10 to 80 degrees two-theta:
d 2.648, 2θ = 33.9°, intensity 100, hkl 4 2 -1
d 4.376, 2θ = 20.3°, intensity 79, hkl 1 1 1
d 2.714, 2θ = 33.0°, intensity 78, hkl 2 0 2
d 3.941, 2θ = 22.6°, intensity 75, hkl 3 1 -1
d 1.884, 2θ = 48.3°, intensity 55, hkl 2 2 -3
d 3.344, 2θ = 26.7°, intensity 50, hkl 2 2 0
d 2.335, 2θ = 38.6°, intensity 36, hkl 4 2 1
d 2.847, 2θ = 31.4°, intensity 32, hkl 4 0 -2
d 2.179, 2θ = 41.4°, intensity 29, hkl 3 3 -1
d 2.835, 2θ = 31.6°, intensity 29, hkl 2 2 1

Structural model:
Unit cell a=16.202 b=7.396 c=6.569 alpha=90.00 beta=104.72 gamma=90.00
Space group C2/m (No. 12)
One atom of each set of equivalent atoms:
Rb  0.237  0.000  0.184 (multiplicity 4)
Sc  0.000  0.275  0.500 (multiplicity 4)
Sc  0.000  0.500  0.000 (multiplicity 2)
Cl  0.093  0.000  0.428 (multiplicity 4)
Cl  0.096  0.263  0.884 (multiplicity 8)
Cl  0.106  0.500  0.383 (multiplicity 4)